Diffraction record for Li8Mn7FeB8O24. The powder X-ray diffraction pattern is computed, not measured: it uses the GGA+U geometry in the Materials Project and CuKα.
Lines closer than 0.1° are merged.

Atomic structure:
Cell lengths 7.9609, 8.0747, 8.3050 Å; angles 80.47, 79.27, 81.67 degrees
Positions (direct):
Li1 0.0000 0.0000 0.0000
Li2 0.0000 0.4992 0.5003
Li3 0.1058 0.3025 0.9368
Li4 0.1064 0.8023 0.4373
Li5 0.5002 0.4988 0.9996
Li6 0.5010 0.0009 0.5021
Li7 0.6051 0.8025 0.9363
Li8 0.6061 0.3018 0.4387
Mn1 0.1259 0.1404 0.6381
Mn2 0.1265 0.6425 0.1380
Mn3 0.4804 0.6599 0.2983
Mn4 0.6254 0.1425 0.1364
Mn5 0.6266 0.6436 0.6381
Mn6 0.9792 0.6595 0.7995
Mn7 0.9795 0.1598 0.2990
Fe1 0.4756 0.1627 0.8003
B1 0.3014 0.8192 0.8147
B2 0.3018 0.3190 0.3150
B3 0.3048 0.9841 0.1202
B4 0.3070 0.4826 0.6230
B5 0.8003 0.3186 0.8136
B6 0.8015 0.8197 0.3146
B7 0.8027 0.9837 0.6247
B8 0.8046 0.4829 0.1225
O1 0.1360 0.8037 0.9069
O2 0.1368 0.3029 0.4079
O3 0.1703 0.1088 0.0957
O4 0.1711 0.6052 0.5973
O5 0.2784 0.8390 0.2342
O6 0.2824 0.3368 0.7374
O7 0.3293 0.4646 0.2023
O8 0.3293 0.9640 0.7013
O9 0.4349 0.6938 0.8415
O10 0.4359 0.1939 0.3410
O11 0.4689 0.0003 0.0252
O12 0.4707 0.4995 0.5293
O13 0.6353 0.3021 0.9055
O14 0.6366 0.8040 0.4068
O15 0.6685 0.1087 0.6016
O16 0.6710 0.6080 0.0950
O17 0.7763 0.3378 0.2357
O18 0.7764 0.8368 0.7360
O19 0.8287 0.4644 0.7015
O20 0.8289 0.9649 0.2012
O21 0.9354 0.1946 0.8409
O22 0.9359 0.6949 0.3414
O23 0.9674 0.9993 0.5305
O24 0.9700 0.4985 0.0306

Most intense lines, 2θ from 15° to 90°, in order of falling intensity:
index  2θ (°)  I (rel.)
2 2 2  33.18  100
-1 1 1  20.36  78
0 2 0  22.49  59
2 -2 2  40.71  54
0 0 2  22.01  33
0 2 -2  33.92  32
2 0 -2  34.60  28
2 -2 0  34.22  25
1 1 -3  39.91  25
1 1 -1  20.61  20
2 2 0  30.30  20
1 3 3  43.48  19

Diffraction record for Li4Mn3FeB4O12. The powder X-ray diffraction pattern is computed, not measured: it uses the GGA+U geometry in the Materials Project and CuKα.
Lines closer than 0.1° are merged.

Atomic structure:
Cell lengths 5.2479, 5.2510, 20.8771 Å; angles 90.77, 90.88, 119.84 degrees
Positions (direct):
Li1 0.0000 0.0000 0.0000
Li2 0.0001 0.0008 0.5000
Li3 0.6591 0.6953 0.6244
Li4 0.6592 0.6968 0.1251
Li5 0.6691 0.6841 0.3750
Li6 0.6702 0.6870 0.8747
Li7 0.9730 0.0268 0.7501
Li8 0.9741 0.0279 0.2498
Mn1 0.3232 0.6748 0.4819
Mn2 0.3245 0.6727 0.9825
Mn3 0.3278 0.0235 0.8570
Mn4 0.6418 0.3495 0.2338
Mn5 0.9900 0.3528 0.6088
Mn6 0.9918 0.3523 0.1081
Fe1 0.3215 0.0249 0.3577
Fe2 0.6389 0.3539 0.7325
B1 0.3182 0.6875 0.7293
B2 0.3180 0.6896 0.2300
B3 0.3247 0.0146 0.6047
B4 0.3258 0.0148 0.1042
B5 0.6621 0.3472 0.4783
B6 0.6631 0.3467 0.9790
B7 0.9880 0.3553 0.8531
B8 0.9911 0.3552 0.3544
O1 0.0524 0.9908 0.0970
O2 0.0519 0.9919 0.5972
O3 0.0627 0.4199 0.7159
O4 0.0669 0.4192 0.2148
O5 0.2514 0.5984 0.8744
O6 0.2532 0.6044 0.3731
O7 0.2879 0.9271 0.2504
O8 0.3000 0.9340 0.7478
O9 0.3570 0.7714 0.5894
O10 0.3586 0.7716 0.0890
O11 0.3920 0.0962 0.9639
O12 0.3917 0.0967 0.4630
O13 0.5675 0.2780 0.6257
O14 0.5685 0.2788 0.1253
O15 0.5912 0.7075 0.7224
O16 0.5927 0.7184 0.2227
O17 0.6902 0.6218 0.4716
O18 0.6921 0.6214 0.9716
O19 0.7390 0.3746 0.3404
O20 0.7444 0.3874 0.8378
O21 0.8998 0.3174 0.4991
O22 0.9005 0.3162 0.9996
O23 0.9644 0.0821 0.8462
O24 0.9744 0.0835 0.3484

Most intense lines, 2θ from 15° to 90°, in order of falling intensity:
index  2θ (°)  I (rel.)
0 0 8  34.38  100
2 -1 0  34.14  87
1 -1 0  19.53  66
1 0 2  21.49  60
2 0 -2  40.34  49
0 1 -4  25.65  46
-1 1 2  21.33  38
0 1 4  26.30  30
0 1 10  48.44  25
2 -2 2  40.65  23
2 -1 8  49.63  16
-2 1 4  38.16  16

Diffraction record for Li4MnFe3B4O12. The powder X-ray diffraction pattern is computed, not measured: it uses the GGA+U geometry in the Materials Project and CuKα.
Lines closer than 0.1° are merged.

Atomic structure:
Cell lengths 5.2508, 5.9877, 16.1456 Å; angles 81.42, 89.44, 88.82 degrees
Positions (direct):
Li1 0.0940 0.1914 0.0138
Li2 0.0956 0.6916 0.5139
Li3 0.4040 0.5610 0.7331
Li4 0.4051 0.0548 0.2387
Li5 0.5949 0.9452 0.7613
Li6 0.5960 0.4390 0.2669
Li7 0.9044 0.3084 0.4861
Li8 0.9060 0.8086 0.9862
Mn1 0.4194 0.6531 0.9139
Mn2 0.5806 0.3469 0.0861
Fe1 0.0854 0.0991 0.8337
Fe2 0.0875 0.5964 0.3330
Fe3 0.4121 0.1511 0.4173
Fe4 0.5879 0.8489 0.5827
Fe5 0.9125 0.4036 0.6670
Fe6 0.9146 0.9009 0.1663
B1 0.0789 0.9157 0.6706
B2 0.0809 0.4096 0.1733
B3 0.4196 0.3366 0.5782
B4 0.4225 0.8379 0.0797
B5 0.5775 0.1621 0.9203
B6 0.5804 0.6634 0.4218
B7 0.9191 0.5904 0.8267
B8 0.9211 0.0843 0.3294
O1 0.0350 0.7021 0.8857
O2 0.0449 0.1967 0.3869
O3 0.0672 0.9544 0.2799
O4 0.0691 0.4593 0.7788
O5 0.1608 0.3627 0.5674
O6 0.1639 0.8633 0.0682
O7 0.3378 0.8894 0.6815
O8 0.3399 0.3869 0.1870
O9 0.4301 0.2918 0.9692
O10 0.4335 0.7935 0.4710
O11 0.4542 0.0507 0.8622
O12 0.4552 0.5519 0.3643
O13 0.5448 0.4481 0.6357
O14 0.5458 0.9493 0.1378
O15 0.5665 0.2065 0.5290
O16 0.5699 0.7082 0.0308
O17 0.6601 0.6131 0.8130
O18 0.6622 0.1106 0.3185
O19 0.8361 0.1367 0.9318
O20 0.8392 0.6373 0.4326
O21 0.9309 0.5407 0.2212
O22 0.9328 0.0456 0.7201
O23 0.9551 0.8033 0.6131
O24 0.9650 0.2979 0.1143

Most intense lines, 2θ from 15° to 90°, in order of falling intensity:
index  2θ (°)  I (rel.)
0 2 -2  33.83  100
1 0 -2  20.31  81
1 1 1  22.53  60
1 1 5  34.16  55
0 0 4  22.27  32
2 0 4  41.03  31
-1 1 5  34.65  26
-3 1 5  61.79  25
0 1 3  20.72  25
0 1 7  40.20  23
1 0 -6  38.02  22
0 2 2  30.61  19